1.
# Ac3La7Sm
Simulated powder diffraction line list, CuKα. Input: DFT lattice parameters and positions (PBE).
Kinematic intensities with the Lorentz-polarization factor, no thermal factor.

Crystal structure
Lattice parameters (Å, degrees): 7.518 7.518 9.190 90.00 90.00 120.00
Fractional positions:
Ac  0.000  0.500  0.000
Ac  0.500  0.000  0.000
Ac  0.500  0.500  0.000
La  0.168  0.335  0.660
La  0.168  0.832  0.660
La  0.335  0.168  0.338
La  0.665  0.832  0.660
La  0.667  0.333  0.659
La  0.832  0.168  0.338
La  0.832  0.665  0.338
Sm  0.333  0.667  0.341

Largest 10 diffraction maxima, by angle, 10 to 90 degrees two-theta:
2θ = 13.6°, d = 6.510 Å, rel. 8
2θ = 16.7°, d = 5.312 Å, rel. 8
2θ = 29.1°, d = 3.067 Å, rel. 100
2θ = 33.7°, d = 2.656 Å, rel. 51
2θ = 48.5°, d = 1.878 Å, rel. 37
2θ = 57.5°, d = 1.602 Å, rel. 44
2θ = 60.3°, d = 1.534 Å, rel. 10
2θ = 71.0°, d = 1.328 Å, rel. 6
2θ = 78.4°, d = 1.219 Å, rel. 14
2θ = 80.9°, d = 1.188 Å, rel. 16

2.
# Mn24Re5
Simulated powder diffraction line list, CuKα. Input: DFT lattice parameters and positions (PBE).
Kinematic intensities with the Lorentz-polarization factor, no thermal factor.

Crystal structure
Lattice parameters (Å, degrees): 7.558 7.558 7.558 109.47 109.47 109.47
Fractional positions:
Mn  0.000  0.194  0.375
Mn  0.000  0.375  0.194
Mn  0.000  0.389  0.677
Mn  0.000  0.677  0.389
Mn  0.180  0.806  0.806
Mn  0.194  0.000  0.375
Mn  0.194  0.375  0.000
Mn  0.287  0.611  0.611
Mn  0.323  0.323  0.713
Mn  0.323  0.713  0.323
Mn  0.375  0.000  0.194
Mn  0.375  0.194  0.000
Mn  0.389  0.000  0.677
Mn  0.389  0.677  0.000
Mn  0.611  0.287  0.611
Mn  0.611  0.611  0.287
Mn  0.625  0.625  0.820
Mn  0.625  0.820  0.625
Mn  0.677  0.000  0.389
Mn  0.677  0.389  0.000
Mn  0.713  0.323  0.323
Mn  0.806  0.180  0.806
Mn  0.806  0.806  0.180
Mn  0.820  0.625  0.625
Re  0.000  0.000  0.000
Re  0.000  0.000  0.634
Re  0.000  0.634  0.000
Re  0.366  0.366  0.366
Re  0.634  0.000  0.000

Largest 10 diffraction maxima, by angle, 10 to 90 degrees two-theta:
2θ = 14.4°, d = 6.171 Å, rel. 14
2θ = 25.0°, d = 3.563 Å, rel. 17
2θ = 38.6°, d = 2.332 Å, rel. 15
2θ = 44.0°, d = 2.057 Å, rel. 100
2θ = 49.0°, d = 1.861 Å, rel. 11
2θ = 51.3°, d = 1.781 Å, rel. 11
2θ = 64.0°, d = 1.455 Å, rel. 6
2θ = 66.0°, d = 1.416 Å, rel. 9
2θ = 77.3°, d = 1.234 Å, rel. 9
2θ = 81.0°, d = 1.188 Å, rel. 23

3.
# MgZn2Si
Simulated powder diffraction line list, CuKα. Input: DFT lattice parameters and positions (PBE).
Kinematic intensities with the Lorentz-polarization factor, no thermal factor.

Crystal structure
Lattice parameters (Å, degrees): 8.489 3.119 5.288 90.00 102.54 90.00
Fractional positions:
Mg  0.000  0.000  0.000
Mg  0.500  0.500  0.000
Zn  0.004  0.500  0.489
Zn  0.258  0.500  0.285
Zn  0.504  0.000  0.489
Zn  0.758  0.000  0.285
Si  0.246  0.000  0.726
Si  0.746  0.500  0.726

Largest 10 diffraction maxima, by angle, 10 to 90 degrees two-theta:
2θ = 17.2°, d = 5.162 Å, rel. 54
2θ = 30.6°, d = 2.919 Å, rel. 16
2θ = 36.5°, d = 2.461 Å, rel. 100
2θ = 36.8°, d = 2.441 Å, rel. 47
2θ = 43.7°, d = 2.071 Å, rel. 38
2θ = 44.5°, d = 2.037 Å, rel. 57
2θ = 45.2°, d = 2.004 Å, rel. 24
2θ = 60.3°, d = 1.534 Å, rel. 19
2θ = 70.1°, d = 1.342 Å, rel. 13
2θ = 71.8°, d = 1.314 Å, rel. 12

Copy entry 2 word for word.
# Mn24Re5
Simulated powder diffraction line list, CuKα. Input: DFT lattice parameters and positions (PBE).
Kinematic intensities with the Lorentz-polarization factor, no thermal factor.

Crystal structure
Lattice parameters (Å, degrees): 7.558 7.558 7.558 109.47 109.47 109.47
Fractional positions:
Mn  0.000  0.194  0.375
Mn  0.000  0.375  0.194
Mn  0.000  0.389  0.677
Mn  0.000  0.677  0.389
Mn  0.180  0.806  0.806
Mn  0.194  0.000  0.375
Mn  0.194  0.375  0.000
Mn  0.287  0.611  0.611
Mn  0.323  0.323  0.713
Mn  0.323  0.713  0.323
Mn  0.375  0.000  0.194
Mn  0.375  0.194  0.000
Mn  0.389  0.000  0.677
Mn  0.389  0.677  0.000
Mn  0.611  0.287  0.611
Mn  0.611  0.611  0.287
Mn  0.625  0.625  0.820
Mn  0.625  0.820  0.625
Mn  0.677  0.000  0.389
Mn  0.677  0.389  0.000
Mn  0.713  0.323  0.323
Mn  0.806  0.180  0.806
Mn  0.806  0.806  0.180
Mn  0.820  0.625  0.625
Re  0.000  0.000  0.000
Re  0.000  0.000  0.634
Re  0.000  0.634  0.000
Re  0.366  0.366  0.366
Re  0.634  0.000  0.000

Largest 10 diffraction maxima, by angle, 10 to 90 degrees two-theta:
2θ = 14.4°, d = 6.171 Å, rel. 14
2θ = 25.0°, d = 3.563 Å, rel. 17
2θ = 38.6°, d = 2.332 Å, rel. 15
2θ = 44.0°, d = 2.057 Å, rel. 100
2θ = 49.0°, d = 1.861 Å, rel. 11
2θ = 51.3°, d = 1.781 Å, rel. 11
2θ = 64.0°, d = 1.455 Å, rel. 6
2θ = 66.0°, d = 1.416 Å, rel. 9
2θ = 77.3°, d = 1.234 Å, rel. 9
2θ = 81.0°, d = 1.188 Å, rel. 23